Record 1
Diffraction record for Nd4SmDy7. The powder X-ray diffraction pattern is simulated, not measured: it uses DFT lattice parameters and positions (GGA-PBE) and Cu Kα, 1.54184 Å.

Principal peaks in the range 2θ from 5° to 70°, sorted by position:
2θ/deg	I/Imax
30.19	35
30.87	38
31.38	100
31.76	62
32.00	34
32.29	17
34.65	11
42.97	16
45.18	11
46.25	13
56.30	11
56.44	16

Cell and atoms:
a = 6.590 Å, b = 6.879 Å, c = 9.121 Å
α = 85.12°, β = 77.23°, γ = 81.86°
Fractional coordinates of all 12 atoms:
Nd1 0.139 0.309 0.284
Nd2 0.337 0.886 0.691
Nd3 0.663 0.114 0.309
Nd4 0.861 0.691 0.716
Sm1 0.500 0.500 0.000
Dy1 0.013 0.251 0.950
Dy2 0.180 0.802 0.359
Dy3 0.313 0.394 0.616
Dy4 0.500 0.000 0.000
Dy5 0.687 0.606 0.384
Dy6 0.820 0.198 0.641
Dy7 0.987 0.749 0.050

---

Record 2
Diffraction record for Ho5Sc2Al4. The powder X-ray diffraction pattern is simulated, not measured: it uses DFT lattice parameters and positions (GGA-PBE) and Cu Kα, 1.54184 Å.

Principal peaks in the range 2θ from 5° to 70°, sorted by position:
2θ/deg	I/Imax
14.56	49
19.51	38
23.62	25
25.84	23
28.13	48
31.74	31
35.09	100
35.27	38
35.49	25
38.39	24
45.92	24
59.20	23

Cell and atoms:
a = 8.324 Å, b = 8.324 Å, c = 8.324 Å
α = 144.40°, β = 104.81°, γ = 86.06°
Fractional coordinates of all 11 atoms:
Ho1 0.000 0.000 0.000
Ho2 0.130 0.288 0.842
Ho3 0.446 0.288 0.158
Ho4 0.554 0.712 0.842
Ho5 0.870 0.712 0.158
Sc1 0.175 0.675 0.500
Sc2 0.825 0.325 0.500
Al1 0.182 0.500 0.682
Al2 0.394 0.894 0.500
Al3 0.606 0.106 0.500
Al4 0.818 0.500 0.318

---

Record 3
Diffraction record for Sm6Y3HoEr2. The powder X-ray diffraction pattern is simulated, not measured: it uses DFT lattice parameters and positions (GGA-PBE) and Cu Kα, 1.54184 Å.

Principal peaks in the range 2θ from 5° to 70°, sorted by position:
2θ/deg	I/Imax
7.60	13
28.82	2
30.52	100
30.76	33
35.45	67
50.85	24
51.17	24
60.48	14
60.62	28
60.90	14
63.52	12
64.07	4

Cell and atoms:
a = 6.219 Å, b = 6.219 Å, c = 11.810 Å
α = 95.02°, β = 95.02°, γ = 119.98°
Fractional coordinates of all 12 atoms:
Sm1 0.083 0.417 0.752
Sm2 0.250 0.250 0.248
Sm3 0.417 0.083 0.752
Sm4 0.583 0.917 0.248
Sm5 0.750 0.750 0.752
Sm6 0.917 0.583 0.248
Y1 0.000 0.000 0.500
Y2 0.333 0.667 0.500
Y3 0.667 0.333 0.500
Ho1 0.500 0.500 0.000
Er1 0.167 0.833 0.000
Er2 0.833 0.167 0.000

---

Record 4
Diffraction record for In3SnPb2. The powder X-ray diffraction pattern is simulated, not measured: it uses DFT lattice parameters and positions (GGA-PBE) and Cu Kα, 1.54184 Å.

Principal peaks in the range 2θ from 5° to 70°, sorted by position:
2θ/deg	I/Imax
28.07	59
30.21	40
31.98	22
32.47	61
33.39	100
34.09	29
34.79	25
35.48	15
38.70	22
55.71	21
58.03	38
68.05	15

Cell and atoms:
a = 5.917 Å, b = 6.362 Å, c = 9.348 Å
α = 90.00°, β = 90.00°, γ = 90.00°
Fractional coordinates of all 12 atoms:
In1 0.000 0.000 0.000
In2 0.250 0.252 0.271
In3 0.250 0.748 0.271
In4 0.500 0.000 0.000
In5 0.750 0.252 0.729
In6 0.750 0.748 0.729
Sn1 0.250 0.500 0.570
Sn2 0.750 0.500 0.430
Pb1 0.250 0.000 0.645
Pb2 0.250 0.500 0.909
Pb3 0.750 0.000 0.355
Pb4 0.750 0.500 0.091